Diffraction record for K4Zr3PdSe8. The X-ray diffraction stick pattern is calculated, not measured: it uses a cell relaxed with GGA-PBE and copper Kα.

```
data_K4Zr3PdSe8
_space_group_name_H-M_alt 'C 1 2/m 1'
_space_group_IT_number 12
_space_group_name_Hall '-C 2y'
_cell_length_a 13.958
_cell_length_b 7.940
_cell_length_c 8.920
_cell_angle_alpha 90.00
_cell_angle_beta 121.37
_cell_angle_gamma 90.00
loop_
_atom_site_label
_atom_site_fract_x
_atom_site_fract_y
_atom_site_fract_z
_atom_site_occupancy
K1 0.000 0.000 0.000 1
K2 0.000 0.500 0.000 1
K3 0.250 0.250 0.000 1
Zr1 0.000 0.000 0.500 1
Zr2 0.250 0.250 0.500 1
Pd1 0.000 0.500 0.500 1
Se1 0.019 0.251 0.308 1
Se2 0.234 0.000 0.703 1
Se3 0.238 0.500 0.698 1
```

Top 8 peaks for 2θ = 10–90°, in order of falling intensity:
2theta	d (Å)	intensity	h k l
30.27	2.953	100	2 2 -2
11.62	7.616	71	0 0 1
29.99	2.979	52	4 0 0
45.17	2.007	36	6 2 -2
41.01	2.201	31	2 2 2
37.96	2.371	20	2 2 -3
45.71	1.985	17	0 4 0
55.64	1.652	17	4 4 0



Diffraction record for KSi3Pd. The X-ray diffraction stick pattern is calculated, not measured: it uses a cell relaxed with GGA-PBE and copper Kα.

```
data_KSi3Pd
_space_group_name_H-M_alt 'P m -3 m'
_space_group_IT_number 221
_space_group_name_Hall '-P 4 2 3'
_cell_length_a 4.878
_cell_length_b 4.878
_cell_length_c 4.878
_cell_angle_alpha 90.00
_cell_angle_beta 90.00
_cell_angle_gamma 90.00
loop_
_atom_site_label
_atom_site_fract_x
_atom_site_fract_y
_atom_site_fract_z
_atom_site_occupancy
K1 0.000 0.000 0.000 1
Si1 0.000 0.500 0.500 1
Pd1 0.500 0.500 0.500 1
```

Top 8 peaks for 2θ = 10–90°, in order of falling intensity:
2theta	d (Å)	intensity	h k l
25.83	3.449	100	1 1 0
18.19	4.878	75	1 0 0
36.85	2.439	73	2 0 0
53.10	1.725	48	2 2 0
45.55	1.992	41	2 1 1
41.39	2.182	36	2 1 0
89.94	1.091	22	4 2 0
72.50	1.304	19	3 2 1



Diffraction record for KSi4Pd4. The X-ray diffraction stick pattern is calculated, not measured: it uses a cell relaxed with GGA-PBE and copper Kα.

```
data_KSi4Pd4
_space_group_name_H-M_alt 'I 4'
_space_group_IT_number 79
_space_group_name_Hall 'I 4'
_cell_length_a 8.462
_cell_length_b 8.462
_cell_length_c 4.610
_cell_angle_alpha 90.00
_cell_angle_beta 90.00
_cell_angle_gamma 90.00
loop_
_atom_site_label
_atom_site_fract_x
_atom_site_fract_y
_atom_site_fract_z
_atom_site_occupancy
K1 0.000 0.000 0.000 1
Si1 0.111 0.388 0.469 1
Pd1 0.170 0.684 0.469 1
```

Top 8 peaks for 2θ = 10–90°, in order of falling intensity:
2theta	d (Å)	intensity	h k l
30.56	2.925	100	1 2 1
48.56	1.875	72	4 1 1
33.49	2.676	50	3 1 0
21.00	4.231	45	2 0 0
39.08	2.305	37	0 0 2
14.80	5.984	32	1 1 0
52.39	1.747	26	3 1 2
45.48	1.995	22	3 3 0



Diffraction record for KSn2Pd4. The X-ray diffraction stick pattern is calculated, not measured: it uses a cell relaxed with GGA-PBE and copper Kα.

```
data_KSn2Pd4
_space_group_name_H-M_alt 'P 42/m n m'
_space_group_IT_number 136
_space_group_name_Hall '-P 4n 2n'
_cell_length_a 8.284
_cell_length_b 8.284
_cell_length_c 4.198
_cell_angle_alpha 90.00
_cell_angle_beta 90.00
_cell_angle_gamma 90.00
loop_
_atom_site_label
_atom_site_fract_x
_atom_site_fract_y
_atom_site_fract_z
_atom_site_occupancy
K1 0.000 0.000 0.000 1
Sn1 0.226 0.226 0.500 1
Pd1 0.084 0.652 0.500 1
```

Top 8 peaks for 2θ = 10–90°, in order of falling intensity:
2theta	d (Å)	intensity	h k l
40.59	2.222	100	3 1 1
37.44	2.402	49	2 2 1
15.12	5.858	47	1 1 0
32.23	2.778	42	2 1 1
43.10	2.099	30	0 0 2
45.13	2.009	26	4 1 0
34.23	2.620	19	3 1 0
77.30	1.234	19	3 1 3



Diffraction record for K2Sn5Pd3. The X-ray diffraction stick pattern is calculated, not measured: it uses a cell relaxed with GGA-PBE and copper Kα.

```
data_K2Sn5Pd3
_space_group_name_H-M_alt 'C m c 21'
_space_group_IT_number 36
_space_group_name_Hall 'C 2c -2'
_cell_length_a 4.695
_cell_length_b 27.783
_cell_length_c 7.443
_cell_angle_alpha 90.00
_cell_angle_beta 90.00
_cell_angle_gamma 90.00
loop_
_atom_site_label
_atom_site_fract_x
_atom_site_fract_y
_atom_site_fract_z
_atom_site_occupancy
K1 0.000 0.020 0.000 1
K2 0.000 0.323 0.038 1
Sn1 0.000 0.101 0.373 1
Sn2 0.000 0.206 0.840 1
Sn3 0.000 0.210 0.251 1
Sn4 0.000 0.376 0.498 1
Sn5 0.000 0.444 0.165 1
Pd1 0.000 0.110 0.749 1
Pd2 0.000 0.277 0.548 1
Pd3 0.000 0.440 0.789 1
```

Top 8 peaks for 2θ = 10–90°, in order of falling intensity:
2theta	d (Å)	intensity	h k l
32.18	2.781	100	1 3 2
38.34	2.348	84	2 0 0
42.65	2.120	58	1 9 2
31.88	2.807	58	1 7 1
42.36	2.134	48	1 3 3
34.78	2.580	39	1 9 0
17.46	5.078	36	0 4 1
19.17	4.630	31	0 6 0



Diffraction record for KTe2Pd. The X-ray diffraction stick pattern is calculated, not measured: it uses a cell relaxed with GGA-PBE and copper Kα.

```
data_KTe2Pd
_space_group_name_H-M_alt 'C 1 2/c 1'
_space_group_IT_number 15
_space_group_name_Hall '-C 2yc'
_cell_length_a 6.298
_cell_length_b 13.846
_cell_length_c 6.457
_cell_angle_alpha 90.00
_cell_angle_beta 116.34
_cell_angle_gamma 90.00
loop_
_atom_site_label
_atom_site_fract_x
_atom_site_fract_y
_atom_site_fract_z
_atom_site_occupancy
K1 0.000 0.117 0.250 1
Te1 0.143 0.370 0.129 1
Pd1 0.000 0.261 0.750 1
```

Top 8 peaks for 2θ = 10–90°, in order of falling intensity:
2theta	d (Å)	intensity	h k l
42.32	2.135	100	1 5 1
32.95	2.718	87	1 3 1
31.24	2.863	80	2 2 -1
12.79	6.923	72	0 2 0
20.00	4.440	53	0 2 1
17.58	5.044	45	1 1 -1
16.96	5.227	34	1 1 0
28.47	3.135	34	1 1 -2



Diffraction record for KTe3Pd3. The X-ray diffraction stick pattern is calculated, not measured: it uses a cell relaxed with GGA-PBE and copper Kα.

```
data_KTe3Pd3
_space_group_name_H-M_alt 'P m -3 n'
_space_group_IT_number 223
_space_group_name_Hall '-P 4n 2 3'
_cell_length_a 7.459
_cell_length_b 7.459
_cell_length_c 7.459
_cell_angle_alpha 90.00
_cell_angle_beta 90.00
_cell_angle_gamma 90.00
loop_
_atom_site_label
_atom_site_fract_x
_atom_site_fract_y
_atom_site_fract_z
_atom_site_occupancy
K1 0.000 0.000 0.000 1
Te1 0.000 0.250 0.500 1
Pd1 0.000 0.500 0.250 1
```

Top 8 peaks for 2θ = 10–90°, in order of falling intensity:
2theta	d (Å)	intensity	h k l
29.33	3.045	100	2 1 1
16.81	5.274	93	1 1 0
41.96	2.153	72	2 2 2
45.50	1.993	58	3 2 1
48.84	1.865	43	4 0 0
23.86	3.729	43	2 0 0
71.56	1.319	27	4 4 0
86.57	1.124	27	6 2 2



Diffraction record for KTePd. The X-ray diffraction stick pattern is calculated, not measured: it uses a cell relaxed with GGA-PBE and copper Kα.

```
data_KTePd
_space_group_name_H-M_alt 'P -6 m 2'
_space_group_IT_number 187
_space_group_name_Hall 'P -6 2'
_cell_length_a 4.5302
_cell_length_b 4.5302
_cell_length_c 5.1876
_cell_angle_alpha 90.00
_cell_angle_beta 90.00
_cell_angle_gamma 120.00
loop_
_atom_site_label
_atom_site_fract_x
_atom_site_fract_y
_atom_site_fract_z
_atom_site_occupancy
K1 0.0000 0.0000 0.0000 1
Te1 0.6667 0.3333 0.5000 1
Pd1 0.3333 0.6667 0.5000 1
```

Top 8 peaks for 2θ = 10–90°, in order of falling intensity:
2theta	d (Å)	intensity	h k l
28.53	3.129	100	1 0 1
17.09	5.188	83	0 0 1
39.80	2.265	60	1 1 0
53.73	1.706	49	1 1 2
43.60	2.076	46	1 1 1
34.58	2.594	30	0 0 2
49.69	1.835	20	2 0 1
86.46	1.126	20	1 1 4



Diffraction record for K3U3Te8Pd. The X-ray diffraction stick pattern is calculated, not measured: it uses a cell relaxed with GGA-PBE and copper Kα.

```
data_K3U3Te8Pd
_space_group_name_H-M_alt 'C 1 2/m 1'
_space_group_IT_number 12
_space_group_name_Hall '-C 2y'
_cell_length_a 14.945
_cell_length_b 8.640
_cell_length_c 9.891
_cell_angle_alpha 90.00
_cell_angle_beta 120.22
_cell_angle_gamma 90.00
loop_
_atom_site_label
_atom_site_fract_x
_atom_site_fract_y
_atom_site_fract_z
_atom_site_occupancy
K1 0.000 0.000 0.000 1
K2 0.250 0.250 0.000 1
U1 0.000 0.500 0.500 1
U2 0.250 0.250 0.500 1
Te1 0.014 0.240 0.301 1
Te2 0.225 0.000 0.698 1
Te3 0.238 0.500 0.715 1
Pd1 0.000 0.000 0.500 1
```

Top 8 peaks for 2θ = 10–90°, in order of falling intensity:
2theta	d (Å)	intensity	h k l
27.62	3.230	100	2 2 -2
10.35	8.547	84	0 0 1
36.94	2.433	36	4 0 -4
41.85	2.158	35	0 4 0
34.27	2.616	29	4 0 1
50.88	1.795	18	8 0 -4
45.88	1.978	18	2 2 3
43.23	2.093	17	6 2 -1



Diffraction record for K3Zr3Te8Pd. The X-ray diffraction stick pattern is calculated, not measured: it uses a cell relaxed with GGA-PBE and copper Kα.

```
data_K3Zr3Te8Pd
_space_group_name_H-M_alt 'C 1 2/m 1'
_space_group_IT_number 12
_space_group_name_Hall '-C 2y'
_cell_length_a 14.964
_cell_length_b 8.066
_cell_length_c 9.889
_cell_angle_alpha 90.00
_cell_angle_beta 121.98
_cell_angle_gamma 90.00
loop_
_atom_site_label
_atom_site_fract_x
_atom_site_fract_y
_atom_site_fract_z
_atom_site_occupancy
K1 0.000 0.000 0.000 1
K2 0.250 0.250 0.000 1
Zr1 0.000 0.500 0.500 1
Zr2 0.250 0.250 0.500 1
Te1 0.016 0.231 0.316 1
Te2 0.223 0.500 0.273 1
Te3 0.234 0.500 0.704 1
Pd1 0.000 0.000 0.500 1
```

Top 8 peaks for 2θ = 10–90°, in order of falling intensity:
2theta	d (Å)	intensity	h k l
28.70	3.110	100	2 2 -2
10.55	8.388	92	0 0 1
28.12	3.173	57	4 0 0
38.51	2.338	35	2 2 2
35.28	2.544	32	2 2 -3
42.64	2.121	31	6 2 -2
44.96	2.016	17	0 4 0
53.87	1.702	17	4 4 0



Diffraction record for K3Zr2Te6Pd. The X-ray diffraction stick pattern is calculated, not measured: it uses a cell relaxed with GGA-PBE and copper Kα.

```
data_K3Zr2Te6Pd
_space_group_name_H-M_alt 'C 1 2/m 1'
_space_group_IT_number 12
_space_group_name_Hall '-C 2y'
_cell_length_a 7.447
_cell_length_b 12.857
_cell_length_c 8.467
_cell_angle_alpha 90.00
_cell_angle_beta 107.14
_cell_angle_gamma 90.00
loop_
_atom_site_label
_atom_site_fract_x
_atom_site_fract_y
_atom_site_fract_z
_atom_site_occupancy
K1 0.000 0.000 0.000 1
K2 0.000 0.332 0.000 1
Zr1 0.000 0.166 0.500 1
Te1 0.227 0.336 0.692 1
Te2 0.235 0.000 0.695 1
Pd1 0.000 0.500 0.500 1
```

Top 8 peaks for 2θ = 10–90°, in order of falling intensity:
2theta	d (Å)	intensity	h k l
28.15	3.170	100	2 0 -2
10.94	8.090	47	0 0 1
38.29	2.350	27	1 3 -3
42.07	2.148	25	3 3 -1
35.40	2.536	24	1 3 2
51.42	1.777	18	2 6 -2
47.95	1.897	16	2 0 3
42.17	2.143	13	0 6 0



Diffraction record for KTl6Pd3. The X-ray diffraction stick pattern is calculated, not measured: it uses a cell relaxed with GGA-PBE and copper Kα.

```
data_KTl6Pd3
_space_group_name_H-M_alt 'P 1'
_space_group_IT_number 1
_space_group_name_Hall 'P 1'
_cell_length_a 6.870
_cell_length_b 6.894
_cell_length_c 7.155
_cell_angle_alpha 68.79
_cell_angle_beta 64.79
_cell_angle_gamma 62.51
loop_
_atom_site_label
_atom_site_fract_x
_atom_site_fract_y
_atom_site_fract_z
_atom_site_occupancy
K1 0.000 0.000 0.000 1
Tl1 0.047 0.517 0.825 1
Tl2 0.171 0.909 0.444 1
Tl3 0.431 0.381 0.349 1
Tl4 0.539 0.560 0.811 1
Tl5 0.635 0.045 0.724 1
Tl6 0.907 0.471 0.353 1
Pd1 0.347 0.216 0.090 1
Pd2 0.581 0.907 0.432 1
Pd3 0.589 0.737 0.112 1
```

Top 8 peaks for 2θ = 10–90°, in order of falling intensity:
2theta	d (Å)	intensity	h k l
35.72	2.513	100	0 2 -1
36.83	2.440	100	0 2 2
29.64	3.014	99	2 0 1
28.16	3.169	94	0 0 2
30.29	2.950	94	2 1 2
37.65	2.389	89	2 1 -1
39.21	2.297	67	2 -1 0
40.61	2.222	57	2 3 1



Diffraction record for K3Tl4Pd2. The X-ray diffraction stick pattern is calculated, not measured: it uses a cell relaxed with GGA-PBE and copper Kα.

```
data_K3Tl4Pd2
_space_group_name_H-M_alt 'C 1 2/c 1'
_space_group_IT_number 15
_space_group_name_Hall '-C 2yc'
_cell_length_a 15.454
_cell_length_b 10.669
_cell_length_c 7.718
_cell_angle_alpha 90.00
_cell_angle_beta 106.66
_cell_angle_gamma 90.00
loop_
_atom_site_label
_atom_site_fract_x
_atom_site_fract_y
_atom_site_fract_z
_atom_site_occupancy
K1 0.000 0.047 0.250 1
K2 0.122 0.396 0.157 1
Tl1 0.130 0.236 0.652 1
Tl2 0.195 0.093 0.050 1
Pd1 0.222 0.136 0.413 1
```

Top 8 peaks for 2θ = 10–90°, in order of falling intensity:
2theta	d (Å)	intensity	h k l
11.96	7.403	100	2 0 0
29.24	3.055	65	1 3 1
29.01	3.078	42	4 2 -1
31.34	2.854	42	5 1 0
29.95	2.983	41	2 0 2
41.77	2.163	36	7 1 -1
38.90	2.315	29	2 2 -3
41.29	2.186	28	5 1 -3